1.
The following is a computed XRD peak list of SbClO. It was derived from DFT lattice parameters and positions (GGA-PBE), using Cu Kα (weighted mean of Kα1 and Kα2).
Neutral-atom scattering factors, no anomalous dispersion.

Peak list (12 most intense, 2θ from 10° to 90°, in order of rising 2θ)
d = 7.917 Å, 2θ = 11.2°, rel. 69
d = 3.419 Å, 2θ = 26.1°, rel. 42
d = 2.738 Å, 2θ = 32.7°, rel. 100
d = 2.681 Å, 2θ = 33.4°, rel. 46
d = 2.220 Å, 2θ = 40.6°, rel. 18
d = 1.896 Å, 2θ = 48.0°, rel. 24
d = 1.881 Å, 2θ = 48.4°, rel. 16
d = 1.755 Å, 2θ = 52.1°, rel. 18
d = 1.658 Å, 2θ = 55.4°, rel. 11
d = 1.592 Å, 2θ = 57.9°, rel. 12
d = 1.558 Å, 2θ = 59.3°, rel. 34
d = 1.288 Å, 2θ = 73.6°, rel. 12

Crystal structure
```
6
Lattice="3.791 0.000 0.000 0.000 3.791 0.000 0.000 0.000 7.917" Properties=species:S:1:pos:R:3 pbc="T T T"
Sb 0.948 0.948 1.243
Sb 2.843 2.843 6.674
Cl 0.948 0.948 5.296
Cl 2.843 2.843 2.621
O 0.948 2.843 0.000
O 2.843 0.948 0.000
```


2.
The following is a computed XRD peak list of Mg14CrSb. It was derived from DFT lattice parameters and positions (GGA-PBE), using Cu Kα (weighted mean of Kα1 and Kα2).
Neutral-atom scattering factors, no anomalous dispersion.

Peak list (12 most intense, 2θ from 10° to 90°, in order of rising 2θ)
d = 5.480 Å, 2θ = 16.2°, rel. 28
d = 4.844 Å, 2θ = 18.3°, rel. 11
d = 3.763 Å, 2θ = 23.6°, rel. 22
d = 2.740 Å, 2θ = 32.7°, rel. 27
d = 2.700 Å, 2θ = 33.2°, rel. 9
d = 2.589 Å, 2θ = 34.7°, rel. 26
d = 2.422 Å, 2θ = 37.1°, rel. 100
d = 1.882 Å, 2θ = 48.4°, rel. 17
d = 1.582 Å, 2θ = 58.3°, rel. 17
d = 1.460 Å, 2θ = 63.7°, rel. 21
d = 1.350 Å, 2θ = 69.7°, rel. 19
d = 1.325 Å, 2θ = 71.2°, rel. 15

Crystal structure
```
16
Lattice="6.328 0.000 0.000 -3.164 5.480 0.000 0.000 0.000 10.355" Properties=species:S:1:pos:R:3 pbc="T T T"
Mg 0.000 0.000 2.581
Mg 0.000 0.000 7.774
Mg -1.572 2.746 2.526
Mg -1.572 2.746 7.829
Mg 1.572 0.908 5.177
Mg 1.584 0.915 0.000
Mg 1.572 2.746 2.526
Mg 1.572 2.746 7.829
Mg 0.000 5.468 2.526
Mg 0.000 5.468 7.829
Mg 4.744 0.915 0.000
Mg 3.164 3.651 0.000
Mg 4.756 0.908 5.177
Mg 3.164 3.665 5.177
Cr 0.000 3.653 0.000
Sb 0.000 3.653 5.177
```


3.
The following is a computed XRD peak list of LiMgAg2. It was derived from DFT lattice parameters and positions (GGA-PBE), using Cu Kα (weighted mean of Kα1 and Kα2).
Neutral-atom scattering factors, no anomalous dispersion.

Peak list (10 most intense, 2θ from 10° to 90°, in order of rising 2θ)
d = 3.779 Å, 2θ = 23.5°, rel. 2
d = 3.272 Å, 2θ = 27.3°, rel. 75
d = 2.314 Å, 2θ = 38.9°, rel. 100
d = 1.973 Å, 2θ = 46.0°, rel. 1
d = 1.889 Å, 2θ = 48.2°, rel. 20
d = 1.636 Å, 2θ = 56.2°, rel. 16
d = 1.463 Å, 2θ = 63.6°, rel. 25
d = 1.336 Å, 2θ = 70.5°, rel. 32
d = 1.157 Å, 2θ = 83.6°, rel. 10
d = 1.091 Å, 2θ = 89.9°, rel. 13

Crystal structure
```
4
Lattice="0.000 3.272 3.272 3.272 0.000 3.272 3.272 3.272 0.000" Properties=species:S:1:pos:R:3 pbc="T T T"
Li 0.000 0.000 0.000
Mg 3.272 3.272 3.272
Ag 1.636 1.636 1.636
Ag 4.908 4.908 4.908
```


4.
The following is a computed XRD peak list of U8MnS17. It was derived from DFT lattice parameters and positions (GGA-PBE), using Cu Kα (weighted mean of Kα1 and Kα2).
Neutral-atom scattering factors, no anomalous dispersion.

Peak list (12 most intense, 2θ from 10° to 90°, in order of rising 2θ)
d = 6.048 Å, 2θ = 14.6°, rel. 48
d = 4.437 Å, 2θ = 20.0°, rel. 42
d = 3.649 Å, 2θ = 24.4°, rel. 59
d = 3.503 Å, 2θ = 25.4°, rel. 100
d = 3.425 Å, 2θ = 26.0°, rel. 66
d = 3.399 Å, 2θ = 26.2°, rel. 36
d = 3.264 Å, 2θ = 27.3°, rel. 33
d = 3.207 Å, 2θ = 27.8°, rel. 87
d = 2.525 Å, 2θ = 35.6°, rel. 65
d = 2.332 Å, 2θ = 38.6°, rel. 46
d = 2.211 Å, 2θ = 40.8°, rel. 50
d = 2.078 Å, 2θ = 43.5°, rel. 39

Crystal structure
```
26
Lattice="6.639 -4.157 0.000 6.639 4.157 0.000 -2.052 0.000 10.087" Properties=species:S:1:pos:R:3 pbc="T T T"
U 4.208 2.147 8.056
U 0.739 0.000 9.646
U 7.018 2.147 2.031
U 3.226 0.000 4.878
U 8.000 0.000 5.209
U 4.208 -2.147 8.056
U 10.487 0.000 0.441
U 7.018 -2.147 2.031
Mn -1.026 0.000 5.043
S 0.000 0.000 0.000
S -0.717 0.000 7.344
S 3.755 2.555 5.386
S 4.882 1.610 0.354
S 2.363 0.000 2.221
S 2.476 0.000 7.510
S 7.472 2.555 4.701
S 6.344 1.610 9.733
S 5.674 0.000 3.328
S 5.552 0.000 6.759
S 4.882 -1.610 0.354
S 3.755 -2.555 5.386
S 8.750 0.000 2.576
S 8.863 0.000 7.866
S 6.344 -1.610 9.733
S 7.472 -2.555 4.701
S 11.944 0.000 2.743
```


5.
The following is a computed XRD peak list of LaTaTiO6. It was derived from DFT lattice parameters and positions (GGA-PBE), using Cu Kα (weighted mean of Kα1 and Kα2).
Neutral-atom scattering factors, no anomalous dispersion.

Peak list (12 most intense, 2θ from 10° to 90°, in order of rising 2θ)
d = 4.482 Å, 2θ = 19.8°, rel. 43
d = 4.132 Å, 2θ = 21.5°, rel. 41
d = 3.139 Å, 2θ = 28.4°, rel. 24
d = 3.066 Å, 2θ = 29.1°, rel. 76
d = 3.011 Å, 2θ = 29.7°, rel. 100
d = 2.844 Å, 2θ = 31.5°, rel. 16
d = 2.744 Å, 2θ = 32.6°, rel. 28
d = 2.066 Å, 2θ = 43.8°, rel. 16
d = 1.985 Å, 2θ = 45.7°, rel. 17
d = 1.904 Å, 2θ = 47.8°, rel. 19
d = 1.736 Å, 2θ = 52.7°, rel. 23
d = 1.617 Å, 2θ = 56.9°, rel. 24

Crystal structure
```
36
Lattice="11.088 0.000 0.000 0.000 5.489 0.000 0.000 0.000 7.615" Properties=species:S:1:pos:R:3 pbc="T T T"
La 0.464 0.243 0.000
La 5.080 2.987 3.808
La 6.008 2.502 0.000
La 10.624 5.246 3.808
Ta 1.593 2.954 1.950
Ta 3.951 0.210 5.758
Ta 7.137 5.279 1.950
Ta 9.495 2.535 5.758
Ti 1.591 2.938 5.673
Ti 3.953 0.194 1.866
Ti 7.135 5.295 5.673
Ti 9.497 2.551 1.866
O 0.294 1.478 2.184
O 0.287 1.498 5.450
O 1.377 3.564 3.831
O 1.591 2.521 7.613
O 2.331 4.758 6.130
O 2.352 4.784 1.503
O 3.191 2.040 5.310
O 3.213 2.014 2.322
O 3.953 5.265 3.806
O 4.167 0.819 0.023
O 5.250 4.222 5.991
O 5.257 4.242 1.643
O 5.831 1.247 5.450
O 5.838 1.267 2.184
O 6.921 4.669 3.831
O 7.135 0.224 7.613
O 7.875 3.475 6.130
O 7.896 3.449 1.503
O 8.735 0.705 5.310
O 8.757 0.730 2.322
O 9.497 2.968 3.806
O 9.711 1.925 0.023
O 10.801 3.991 1.643
O 10.794 4.011 5.991
```


6.
The following is a computed XRD peak list of BaMg6Fe. It was derived from DFT lattice parameters and positions (GGA-PBE), using Cu Kα (weighted mean of Kα1 and Kα2).
Neutral-atom scattering factors, no anomalous dispersion.

Peak list (12 most intense, 2θ from 10° to 90°, in order of rising 2θ)
d = 5.698 Å, 2θ = 15.6°, rel. 94
d = 3.958 Å, 2θ = 22.5°, rel. 59
d = 3.714 Å, 2θ = 24.0°, rel. 48
d = 2.926 Å, 2θ = 30.6°, rel. 71
d = 2.849 Å, 2θ = 31.4°, rel. 48
d = 2.770 Å, 2θ = 32.3°, rel. 69
d = 2.471 Å, 2θ = 36.4°, rel. 31
d = 2.463 Å, 2θ = 36.5°, rel. 100
d = 2.449 Å, 2θ = 36.7°, rel. 43
d = 1.857 Å, 2θ = 49.1°, rel. 27
d = 1.739 Å, 2θ = 52.6°, rel. 21
d = 1.417 Å, 2θ = 65.9°, rel. 21

Crystal structure
```
8
Lattice="4.898 0.000 0.000 0.000 3.146 6.718 0.000 -3.146 6.718" Properties=species:S:1:pos:R:3 pbc="T T T"
Ba 0.000 0.000 0.000
Mg 0.000 0.000 5.876
Mg 0.000 -1.609 9.674
Mg 0.000 1.609 9.674
Mg 2.449 -1.533 4.626
Mg 2.449 1.533 4.626
Mg 2.449 0.000 8.193
Fe 2.449 0.000 2.306
```


7.
The following is a computed XRD peak list of Li2PmPb. It was derived from DFT lattice parameters and positions (GGA-PBE), using Cu Kα (weighted mean of Kα1 and Kα2).
Neutral-atom scattering factors, no anomalous dispersion.

Peak list (12 most intense, 2θ from 10° to 90°, in order of rising 2θ)
d = 4.038 Å, 2θ = 22.0°, rel. 5
d = 3.497 Å, 2θ = 25.5°, rel. 100
d = 2.473 Å, 2θ = 36.3°, rel. 91
d = 2.109 Å, 2θ = 42.9°, rel. 3
d = 2.019 Å, 2θ = 44.9°, rel. 30
d = 1.748 Å, 2θ = 52.3°, rel. 16
d = 1.605 Å, 2θ = 57.4°, rel. 1
d = 1.564 Å, 2θ = 59.1°, rel. 40
d = 1.428 Å, 2θ = 65.4°, rel. 33
d = 1.236 Å, 2θ = 77.1°, rel. 11
d = 1.166 Å, 2θ = 82.8°, rel. 20
d = 1.106 Å, 2θ = 88.4°, rel. 16

Crystal structure
```
4
Lattice="0.000 3.497 3.497 3.497 0.000 3.497 3.497 3.497 0.000" Properties=species:S:1:pos:R:3 pbc="T T T"
Li 1.748 1.748 1.748
Li 5.245 5.245 5.245
Pm 0.000 0.000 0.000
Pb 3.497 3.497 3.497
```


8.
The following is a computed XRD peak list of CeAl3Br12. It was derived from DFT lattice parameters and positions (GGA-PBE), using Cu Kα (weighted mean of Kα1 and Kα2).
Neutral-atom scattering factors, no anomalous dispersion.

Peak list (12 most intense, 2θ from 10° to 90°, in order of rising 2θ)
d = 8.381 Å, 2θ = 10.6°, rel. 100
d = 6.692 Å, 2θ = 13.2°, rel. 23
d = 3.586 Å, 2θ = 24.8°, rel. 25
d = 3.461 Å, 2θ = 25.7°, rel. 36
d = 3.346 Å, 2θ = 26.6°, rel. 35
d = 3.305 Å, 2θ = 27.0°, rel. 39
d = 3.131 Å, 2θ = 28.5°, rel. 29
d = 3.085 Å, 2θ = 28.9°, rel. 28
d = 2.953 Å, 2θ = 30.3°, rel. 33
d = 2.841 Å, 2θ = 31.5°, rel. 36
d = 2.587 Å, 2θ = 34.7°, rel. 31
d = 1.990 Å, 2θ = 45.6°, rel. 25

Crystal structure
```
48
Lattice="10.748 0.000 0.000 -5.374 9.308 0.000 0.000 0.000 19.258" Properties=species:S:1:pos:R:3 pbc="T T T"
Ce -3.905 6.764 3.210
Ce 1.469 2.545 9.629
Ce 7.810 0.000 16.048
Al -0.537 0.930 12.839
Al 1.074 0.000 6.419
Al -0.123 5.870 4.243
Al -0.229 6.480 17.082
Al 0.353 6.267 10.663
Al 5.145 2.828 15.015
Al 5.251 3.439 8.595
Al 5.727 3.042 2.176
Al 4.837 8.379 0.000
Br -0.958 2.165 14.782
Br -0.232 1.836 7.024
Br -2.240 5.458 5.327
Br -3.668 8.591 0.604
Br -2.376 6.665 16.370
Br 1.706 0.718 12.234
Br -3.021 9.055 8.363
Br -1.437 6.742 11.976
Br 2.353 0.253 4.476
Br -0.282 4.884 8.809
Br 0.254 4.693 18.396
Br 0.790 3.918 3.531
Br -1.004 7.110 2.389
Br 1.767 4.639 11.747
Br 2.998 2.644 15.727
Br 1.285 6.622 15.228
Br 1.183 7.182 5.557
Br 3.134 3.850 7.511
Br 0.473 8.519 18.166
Br 3.937 2.566 0.862
Br 4.371 2.198 10.449
Br 1.586 8.033 9.951
Br 5.847 0.789 13.931
Br 5.092 4.424 4.030
Br 6.960 1.275 2.888
Br 6.557 2.127 7.282
Br 6.660 2.686 16.869
Br 3.978 7.397 1.944
Br 5.628 4.615 13.701
Br 4.416 7.144 17.314
Br 3.899 8.190 13.443
Br 6.164 5.390 9.307
Br 5.143 7.472 5.815
Br 7.141 4.669 1.092
Br 9.274 1.119 18.654
Br 9.353 1.912 10.895
```